The following is a simulated XRD peak list of V4As2O13. It was derived from a cell relaxed with GGA+U, using Cu Kα, 1.54184 Å.
Neutral-atom scattering factors, no anomalous dispersion.

```
data_V4As2O13
_space_group_name_H-M_alt 'P 1'
_space_group_IT_number 1
_cell_length_a 5.0542
_cell_length_b 5.0675
_cell_length_c 8.9597
_cell_angle_alpha 89.71
_cell_angle_beta 79.63
_cell_angle_gamma 80.32
loop_
_space_group_symop_operation_xyz
'x,y,z'
loop_
_atom_site_label
_atom_site_fract_x
_atom_site_fract_y
_atom_site_fract_z
V1 0.0000 0.0000 0.0000
V2 0.1258 0.2940 0.3570
V3 0.2902 0.4935 0.7433
V4 0.4581 0.7247 0.4186
As1 0.5521 0.5445 0.0592
As2 0.7931 0.9731 0.6466
O1 0.0242 0.9733 0.4789
O2 0.0872 0.1122 0.1585
O3 0.1486 0.2560 0.8463
O4 0.2519 0.4668 0.5291
O5 0.3413 0.5590 0.2395
O6 0.3544 0.6997 0.9322
O7 0.4744 0.0327 0.3380
O8 0.5255 0.8095 0.6245
O9 0.6387 0.2123 0.0124
O10 0.6678 0.2963 0.7013
O11 0.8055 0.4914 0.3773
O12 0.8197 0.6940 0.0772
O13 0.9653 0.8084 0.7803
```

Main lines, sorted by position (10° ≤ 2θ ≤ 90°):
(1 1 0), 23.17°, rel. 23.3; (1 0 2), 24.60°, rel. 27.5; (1 1 -1), 26.44°, rel. 100.0; (1 -1 0), 27.59°, rel. 82.2; (1 1 2), 28.92°, rel. 75.7; (1 0 -2), 29.63°, rel. 24.6; (0 0 3), 30.44°, rel. 52.5; (-1 1 1), 30.73°, rel. 25.2; (2 1 4), 51.89°, rel. 26.3; (3 0 4), 64.54°, rel. 29.0

The following is a simulated XRD peak list of Mn4AgO8. It was derived from a cell relaxed with GGA+U, using Cu Kα, 1.54184 Å.
Neutral-atom scattering factors, no anomalous dispersion.

```
data_Mn4AgO8
_space_group_name_H-M_alt 'C 1 2/m 1'
_space_group_IT_number 12
_cell_length_a 10.5082
_cell_length_b 5.8430
_cell_length_c 7.5329
_cell_angle_alpha 90.00
_cell_angle_beta 130.40
_cell_angle_gamma 90.00
loop_
_space_group_symop_operation_xyz
'x,y,z'
'-x,-y,-z'
'-x,y,-z'
'x,-y,z'
'x+1/2,y+1/2,z'
'-x+1/2,-y+1/2,-z'
'-x+1/2,y+1/2,-z'
'x+1/2,-y+1/2,z'
loop_
_atom_site_label
_atom_site_fract_x
_atom_site_fract_y
_atom_site_fract_z
Mn1 0.0000 0.2490 0.0000
Mn2 0.2428 0.5000 0.9814
Ag1 0.0000 0.0000 0.5000
O1 0.0926 0.2394 0.8173
O2 0.1621 0.5000 0.1539
O3 0.1627 0.0000 0.1676
```

Main lines, sorted by position (10° ≤ 2θ ≤ 90°):
(0 0 1), 15.45°, rel. 100.0; (2 0 -1), 16.91°, rel. 35.0; (1 1 0), 18.80°, rel. 44.5; (1 1 -1), 19.25°, rel. 36.5; (0 0 2), 31.19°, rel. 45.2; (4 0 -2), 34.20°, rel. 35.4; (2 2 -1), 35.16°, rel. 48.7; (2 2 1), 46.90°, rel. 64.3; (4 0 -4), 48.52°, rel. 54.7; (6 2 -3), 61.86°, rel. 24.6